(1)
Structure and theoretical X-ray powder pattern of Sm2PaN4 (DFT lattice parameters and positions (PBE); λ = 1.5418 Å (Cu Kα)).

Main lines, by angle (10° ≤ 2θ ≤ 90°):
Position (°2θ)	I/Imax
29.16	52
30.00	100
37.41	29
39.19	22
39.40	18
46.26	21
54.28	15
56.95	15
58.56	15
65.71	13

Structural model:
Cell lengths 6.3849, 6.3849, 6.3849 Å; angles 111.02, 111.02, 106.42 degrees
Atoms (fractional coordinates):
1 Sm 0.3750 0.0078 0.1328
2 Sm 0.7578 0.6250 0.6328
3 Sm 0.8750 0.2422 0.8672
4 Sm 0.9922 0.1250 0.3672
5 Pa 0.2500 0.7500 0.5000
6 Pa 0.5000 0.5000 0.0000
7 N 0.1404 0.0036 0.7409
8 N 0.1495 0.5127 0.7591
9 N 0.2627 0.3995 0.2591
10 N 0.4873 0.2464 0.6368
11 N 0.6005 0.8596 0.8632
12 N 0.6096 0.8505 0.3632
13 N 0.7536 0.3904 0.2409
14 N 0.9964 0.7373 0.1368

=====

(2)
Structure and theoretical X-ray powder pattern of SmPa5N6 (DFT lattice parameters and positions (PBE); λ = 1.5418 Å (Cu Kα)).

Main lines, by angle (10° ≤ 2θ ≤ 90°):
Position (°2θ)	I/Imax
31.20	100
36.18	66
52.10	47
61.98	38
62.02	8
65.08	16
76.79	7
85.20	17
87.95	18
88.01	4

Structural model:
Cell lengths 6.0795, 6.0795, 6.0803 Å; angles 99.61, 99.61, 119.94 degrees
Atoms (fractional coordinates):
1 Sm 0.0000 0.0000 0.0000
2 Pa 0.1646 0.8354 0.5000
3 Pa 0.3330 0.6670 0.0000
4 Pa 0.5000 0.5000 0.5000
5 Pa 0.6670 0.3330 0.0000
6 Pa 0.8354 0.1646 0.5000
7 N 0.0851 0.4265 0.2549
8 N 0.2575 0.2575 0.7474
9 N 0.4265 0.0851 0.2549
10 N 0.5735 0.9149 0.7451
11 N 0.7425 0.7425 0.2526
12 N 0.9149 0.5735 0.7451

=====

(3)
Structure and theoretical X-ray powder pattern of Sm2PaTe2N2 (DFT lattice parameters and positions (PBE); λ = 1.5418 Å (Cu Kα)).

Main lines, by angle (10° ≤ 2θ ≤ 90°):
Position (°2θ)	I/Imax
10.69	16
28.53	78
33.83	100
40.79	34
54.00	55
59.06	12
63.62	12
66.88	14
69.83	14
84.15	15

Structural model:
Cell lengths 4.4240, 4.4240, 16.5457 Å; angles 90.00, 90.00, 90.00 degrees
Atoms (fractional coordinates):
1 Sm 0.0000 0.0000 0.1052
2 Sm 0.0000 0.0000 0.8948
3 Sm 0.5000 0.5000 0.3948
4 Sm 0.5000 0.5000 0.6052
5 Pa 0.0000 0.0000 0.5000
6 Pa 0.5000 0.5000 0.0000
7 Te 0.0000 0.0000 0.3143
8 Te 0.0000 0.0000 0.6857
9 Te 0.5000 0.5000 0.1857
10 Te 0.5000 0.5000 0.8143
11 N 0.0000 0.5000 0.0000
12 N 0.0000 0.5000 0.5000
13 N 0.5000 0.0000 0.0000
14 N 0.5000 0.0000 0.5000

=====

(4)
Structure and theoretical X-ray powder pattern of SmTh2PaN4 (DFT lattice parameters and positions (PBE); λ = 1.5418 Å (Cu Kα)).

Main lines, by angle (10° ≤ 2θ ≤ 90°):
Position (°2θ)	I/Imax
30.26	34
30.47	100
35.27	89
50.60	32
50.77	11
50.93	21
60.10	16
60.25	10
60.40	31
63.35	11

Structural model:
Cell lengths 6.2047, 3.5969, 6.2597 Å; angles 90.00, 109.31, 90.00 degrees
Atoms (fractional coordinates):
1 Sm 0.0000 0.0000 0.0000
2 Th 0.0000 0.5000 0.5000
3 Th 0.5000 0.0000 0.5000
4 Pa 0.5000 0.5000 0.0000
5 N 0.2662 0.5000 0.2383
6 N 0.2715 0.0000 0.7726
7 N 0.7285 0.0000 0.2274
8 N 0.7338 0.5000 0.7617

=====

(5)
Structure and theoretical X-ray powder pattern of Sm2YPaN4 (DFT lattice parameters and positions (PBE); λ = 1.5418 Å (Cu Kα)).

Main lines, by angle (10° ≤ 2θ ≤ 90°):
Position (°2θ)	I/Imax
30.94	100
31.13	33
35.84	64
36.11	31
51.53	11
51.64	33
51.96	22
61.30	20
61.59	15
64.53	11

Structural model:
Cell lengths 6.0815, 3.5471, 6.1286 Å; angles 90.00, 109.14, 90.00 degrees
Atoms (fractional coordinates):
1 Sm 0.0000 0.0000 0.0000
2 Sm 0.5000 0.5000 0.0000
3 Y 0.0000 0.5000 0.5000
4 Pa 0.5000 0.0000 0.5000
5 N 0.2580 0.0000 0.7302
6 N 0.2656 0.5000 0.2725
7 N 0.7344 0.5000 0.7275
8 N 0.7420 0.0000 0.2698

=====

(6)
Structure and theoretical X-ray powder pattern of Sm3ZrPa2N6 (DFT lattice parameters and positions (PBE); λ = 1.5418 Å (Cu Kα)).

Main lines, by angle (10° ≤ 2θ ≤ 90°):
Position (°2θ)	I/Imax
31.14	36
31.35	100
36.29	94
52.13	33
52.40	33
61.94	11
62.19	20
62.33	25
65.41	16
85.74	13

Structural model:
Cell lengths 6.0494, 6.0494, 6.0823 Å; angles 99.46, 99.46, 120.03 degrees
Atoms (fractional coordinates):
1 Sm 0.0000 0.0000 0.0000
2 Sm 0.3356 0.6644 0.0000
3 Sm 0.6644 0.3356 0.0000
4 Zr 0.5000 0.5000 0.5000
5 Pa 0.1667 0.8333 0.5000
6 Pa 0.8333 0.1667 0.5000
7 N 0.0930 0.4272 0.2817
8 N 0.2409 0.2409 0.7227
9 N 0.4272 0.0930 0.2817
10 N 0.5728 0.9070 0.7183
11 N 0.7591 0.7591 0.2773
12 N 0.9070 0.5728 0.7183

=====

(7)
Structure and theoretical X-ray powder pattern of ZrPa2SnN6 (DFT lattice parameters and positions (PBE); λ = 1.5418 Å (Cu Kα)).

Main lines, by angle (10° ≤ 2θ ≤ 90°):
Position (°2θ)	I/Imax
16.75	23
28.97	100
33.42	35
33.86	11
41.61	17
47.99	17
48.32	24
57.04	31
57.61	10
60.03	10

Structural model:
Cell lengths 5.3616, 5.3616, 5.2945 Å; angles 90.00, 90.00, 90.00 degrees
Atoms (fractional coordinates):
1 Zr 0.0000 0.0000 0.0000
2 Pa 0.0000 0.5000 0.4102
3 Pa 0.5000 0.0000 0.4102
4 Sn 0.5000 0.5000 0.9904
5 N 0.0000 0.0000 0.6095
6 N 0.2504 0.2504 0.1805
7 N 0.2504 0.7496 0.1805
8 N 0.5000 0.5000 0.6059
9 N 0.7496 0.2504 0.1805
10 N 0.7496 0.7496 0.1805

=====

(8)
Structure and theoretical X-ray powder pattern of Sr5Pa3N8 (DFT lattice parameters and positions (PBE); λ = 1.5418 Å (Cu Kα)).

Main lines, by angle (10° ≤ 2θ ≤ 90°):
Position (°2θ)	I/Imax
14.74	34
28.64	21
29.72	35
29.94	100
34.64	99
49.66	34
49.94	35
58.96	17
59.20	32
62.21	17

Structural model:
Cell lengths 7.3430, 7.3430, 7.3430 Å; angles 59.65, 59.65, 59.65 degrees
Atoms (fractional coordinates):
1 Sr 0.0000 0.0000 0.0000
2 Sr 0.0000 0.5000 0.5000
3 Sr 0.5000 0.0000 0.5000
4 Sr 0.5000 0.5000 0.0000
5 Sr 0.5000 0.5000 0.5000
6 Pa 0.0000 0.0000 0.5000
7 Pa 0.0000 0.5000 0.0000
8 Pa 0.5000 0.0000 0.0000
9 N 0.1985 0.7499 0.7499
10 N 0.2339 0.2339 0.2339
11 N 0.2501 0.2501 0.8015
12 N 0.2501 0.8015 0.2501
13 N 0.7499 0.1985 0.7499
14 N 0.7499 0.7499 0.1985
15 N 0.7661 0.7661 0.7661
16 N 0.8015 0.2501 0.2501

=====

(9)
Structure and theoretical X-ray powder pattern of SrPaN3 (DFT lattice parameters and positions (PBE); λ = 1.5418 Å (Cu Kα)).

Main lines, by angle (10° ≤ 2θ ≤ 90°):
Position (°2θ)	I/Imax
12.95	24
13.24	32
15.85	24
26.08	37
26.32	41
27.11	100
29.86	43
32.84	25
38.78	20
45.13	24

Structural model:
Cell lengths 7.3904, 7.3904, 6.9449 Å; angles 105.01, 105.01, 32.40 degrees
Atoms (fractional coordinates):
1 Sr 0.1448 0.1448 0.3566
2 Sr 0.8552 0.8552 0.6434
3 Pa 0.3504 0.3504 0.1320
4 Pa 0.6496 0.6496 0.8680
5 N 0.1817 0.1817 0.9957
6 N 0.3341 0.3341 0.4153
7 N 0.4742 0.4742 0.9120
8 N 0.5258 0.5258 0.0880
9 N 0.6659 0.6659 0.5847
10 N 0.8183 0.8183 0.0043

=====

(10)
Structure and theoretical X-ray powder pattern of Sr3Pa3TcN8 (DFT lattice parameters and positions (PBE); λ = 1.5418 Å (Cu Kα)).

Main lines, by angle (10° ≤ 2θ ≤ 90°):
Position (°2θ)	I/Imax
14.87	67
30.00	69
31.24	97
35.87	100
50.83	34
52.44	34
61.60	36
62.33	21
65.18	22
85.76	28

Structural model:
Cell lengths 7.1911, 7.1911, 7.1911 Å; angles 58.07, 58.07, 58.07 degrees
Atoms (fractional coordinates):
1 Sr 0.0000 0.5000 0.5000
2 Sr 0.5000 0.0000 0.5000
3 Sr 0.5000 0.5000 0.0000
4 Pa 0.0000 0.0000 0.5000
5 Pa 0.0000 0.5000 0.0000
6 Pa 0.5000 0.0000 0.0000
7 Tc 0.5000 0.5000 0.5000
8 N 0.2319 0.7245 0.7245
9 N 0.2366 0.2366 0.2366
10 N 0.2755 0.2755 0.7681
11 N 0.2755 0.7681 0.2755
12 N 0.7245 0.2319 0.7245
13 N 0.7245 0.7245 0.2319
14 N 0.7634 0.7634 0.7634
15 N 0.7681 0.2755 0.2755

=====

(11)
Structure and theoretical X-ray powder pattern of Sr3YPa3N8 (DFT lattice parameters and positions (PBE); λ = 1.5418 Å (Cu Kα)).

Main lines, by angle (10° ≤ 2θ ≤ 90°):
Position (°2θ)	I/Imax
14.72	63
17.37	22
29.28	30
29.70	37
30.54	97
35.16	100
50.03	34
51.12	35
59.27	18
60.24	32

Structural model:
Cell lengths 7.2954, 7.2954, 7.2954 Å; angles 58.66, 58.66, 58.66 degrees
Atoms (fractional coordinates):
1 Sr 0.0000 0.5000 0.5000
2 Sr 0.5000 0.0000 0.5000
3 Sr 0.5000 0.5000 0.0000
4 Y 0.5000 0.5000 0.5000
5 Pa 0.0000 0.0000 0.5000
6 Pa 0.0000 0.5000 0.0000
7 Pa 0.5000 0.0000 0.0000
8 N 0.2174 0.7327 0.7327
9 N 0.2361 0.2361 0.2361
10 N 0.2673 0.2673 0.7826
11 N 0.2673 0.7826 0.2673
12 N 0.7327 0.2174 0.7327
13 N 0.7327 0.7327 0.2174
14 N 0.7639 0.7639 0.7639
15 N 0.7826 0.2673 0.2673

=====

(12)
Structure and theoretical X-ray powder pattern of PaTa2N5 (DFT lattice parameters and positions (PBE); λ = 1.5418 Å (Cu Kα)).

Main lines, by angle (10° ≤ 2θ ≤ 90°):
Position (°2θ)	I/Imax
22.65	55
27.92	76
30.47	70
31.35	64
33.18	100
34.03	35
35.99	41
44.16	29
46.11	36
53.20	44

Structural model:
Cell lengths 3.5868, 12.3082, 5.0972 Å; angles 90.00, 90.00, 90.00 degrees
Atoms (fractional coordinates):
1 Pa 0.2500 0.2500 0.1405
2 Pa 0.7500 0.7500 0.8595
3 Ta 0.2500 0.5968 0.3969
4 Ta 0.2500 0.9032 0.3969
5 Ta 0.7500 0.0968 0.6031
6 Ta 0.7500 0.4032 0.6031
7 N 0.2500 0.0781 0.4265
8 N 0.2500 0.4219 0.4265
9 N 0.2500 0.6429 0.0439
10 N 0.2500 0.7500 0.5616
11 N 0.2500 0.8571 0.0439
12 N 0.7500 0.1429 0.9561
13 N 0.7500 0.2500 0.4384
14 N 0.7500 0.3571 0.9561
15 N 0.7500 0.5781 0.5735
16 N 0.7500 0.9219 0.5735

=====

(13)
Structure and theoretical X-ray powder pattern of PaTaN4 (DFT lattice parameters and positions (PBE); λ = 1.5418 Å (Cu Kα)).

Main lines, by angle (10° ≤ 2θ ≤ 90°):
Position (°2θ)	I/Imax
29.19	100
33.23	28
35.02	12
47.70	16
49.05	29
56.91	32
59.28	14
60.53	11
79.43	18
89.92	10

Structural model:
Cell lengths 5.3923, 5.3923, 5.1242 Å; angles 90.00, 90.00, 90.00 degrees
Atoms (fractional coordinates):
1 Pa 0.2500 0.2500 0.0000
2 Pa 0.7500 0.7500 0.0000
3 Ta 0.2500 0.7500 0.5000
4 Ta 0.7500 0.2500 0.5000
5 N 0.0432 0.5432 0.2590
6 N 0.0432 0.9568 0.7410
7 N 0.4568 0.5432 0.7410
8 N 0.4568 0.9568 0.2590
9 N 0.5432 0.0432 0.7410
10 N 0.5432 0.4568 0.2590
11 N 0.9568 0.0432 0.2590
12 N 0.9568 0.4568 0.7410